No. 1
Structure and calculated powder X-ray diffraction pattern of ZrAg4 (a structure optimized by DFT (PBE); Cu Kα, 1.54184 Å).
No peak broadening, texture or thermal motion is included.

Principal peaks in the range 10 to 90 degrees two-theta, in order of falling intensity:
2theta	d [Å]	I_rel
37.0	2.432	100
42.9	2.106	48
62.4	1.489	25
74.8	1.269	17
74.7	1.271	17
78.8	1.215	5
78.6	1.217	5
62.3	1.491	5
11.9	7.456	1

Atomic structure:
```
ZrAg4
1.0
-1.488 2.105 7.456
1.488 -2.105 7.456
1.488 2.105 -7.456
Zr Ag
1 4
direct
0.000 0.000 0.000
0.200 0.200 0.000
0.397 0.397 0.000
0.603 0.603 0.000
0.800 0.800 0.000
```


No. 2
Structure and calculated powder X-ray diffraction pattern of Ba4PrHoCu6O14 (a structure optimized by DFT (PBE); Cu Kα, 1.54184 Å).
No peak broadening, texture or thermal motion is included.

Principal peaks in the range 10 to 90 degrees two-theta, in order of falling intensity:
2theta	d [Å]	I_rel
32.4	2.766	100
32.5	2.757	93
32.1	2.791	91
57.5	1.603	38
57.3	1.608	36
58.1	1.588	33
39.8	2.262	29
46.1	1.967	28
47.0	1.932	26
45.8	1.980	20

Atomic structure:
```
Ba4PrHoCu6O14
1.0
3.864 0.000 0.000
0.000 3.934 0.000
0.000 0.000 23.761
Ba Pr Ho Cu O
4 1 1 6 14
direct
0.000 0.000 0.158
0.000 0.000 0.338
0.000 0.000 0.662
0.000 0.000 0.842
0.000 0.000 0.500
0.000 0.000 0.000
0.500 0.500 0.072
0.500 0.500 0.248
0.500 0.500 0.422
0.500 0.500 0.578
0.500 0.500 0.752
0.500 0.500 0.928
0.000 0.500 0.059
0.000 0.500 0.435
0.000 0.500 0.565
0.000 0.500 0.941
0.500 0.000 0.060
0.500 0.000 0.247
0.500 0.000 0.434
0.500 0.000 0.566
0.500 0.000 0.753
0.500 0.000 0.940
0.500 0.500 0.169
0.500 0.500 0.327
0.500 0.500 0.673
0.500 0.500 0.831
```